Entry 1:
Structure and theoretical PXRD pattern of Li4Ti3V3O12 (a cell relaxed with PBE+U; Cu Kα (λ = 1.5418 Å)).
Neutral-atom scattering factors, no anomalous dispersion.

Atomic structure:
```
Li4Ti3V3O12
1.0
5.190 0.000 0.000
1.771 5.785 0.000
1.766 1.216 7.618
Li Ti V O
4 3 3 12
direct
0.002 0.166 0.335
0.497 0.334 0.167
0.503 0.666 0.833
0.998 0.834 0.665
0.000 0.000 0.000
0.007 0.332 0.668
0.993 0.668 0.332
0.497 0.169 0.832
0.500 0.500 0.500
0.503 0.831 0.168
0.225 0.359 0.421
0.228 0.015 0.764
0.237 0.687 0.094
0.240 0.810 0.405
0.255 0.139 0.076
0.256 0.482 0.736
0.744 0.518 0.264
0.745 0.861 0.924
0.760 0.190 0.595
0.763 0.313 0.906
0.772 0.985 0.236
0.775 0.641 0.579
```

Largest 12 diffraction maxima, by angle, 2θ = 10–90°:
- 17.9 deg, d 4.961, intensity 100
- 35.1 deg, d 2.560, intensity 11
- 35.4 deg, d 2.533, intensity 22
- 42.3 deg, d 2.136, intensity 24
- 42.8 deg, d 2.112, intensity 47
- 46.6 deg, d 1.948, intensity 6
- 55.7 deg, d 1.652, intensity 6
- 56.2 deg, d 1.637, intensity 5
- 61.3 deg, d 1.512, intensity 6
- 61.5 deg, d 1.507, intensity 12
- 62.1 deg, d 1.494, intensity 13
- 62.8 deg, d 1.480, intensity 6

---

Entry 2:
Structure and theoretical PXRD pattern of Li2TiV3O8 (a cell relaxed with PBE+U; Cu Kα (λ = 1.5418 Å)).
Neutral-atom scattering factors, no anomalous dispersion.

Atomic structure:
```
Li2TiV3O8
1.0
8.355 0.000 0.000
0.000 8.505 0.000
0.000 0.000 8.521
Li Ti V O
8 4 12 32
direct
0.004 0.003 0.002
0.249 0.250 0.251
0.251 0.750 0.751
0.496 0.997 0.502
0.504 0.497 0.998
0.749 0.250 0.749
0.751 0.750 0.249
0.996 0.503 0.498
0.120 0.874 0.378
0.380 0.126 0.878
0.620 0.626 0.622
0.880 0.374 0.122
0.126 0.126 0.624
0.128 0.378 0.876
0.132 0.627 0.126
0.368 0.373 0.626
0.372 0.622 0.376
0.374 0.874 0.124
0.626 0.374 0.376
0.628 0.122 0.124
0.632 0.873 0.874
0.868 0.127 0.374
0.872 0.878 0.624
0.874 0.626 0.876
0.107 0.111 0.384
0.113 0.390 0.119
0.113 0.883 0.607
0.117 0.614 0.892
0.129 0.642 0.362
0.132 0.861 0.139
0.143 0.138 0.861
0.145 0.372 0.631
0.355 0.628 0.131
0.357 0.862 0.361
0.368 0.139 0.639
0.371 0.358 0.862
0.383 0.386 0.392
0.387 0.117 0.107
0.387 0.610 0.619
0.393 0.889 0.884
0.607 0.389 0.616
0.613 0.110 0.881
0.613 0.617 0.393
0.617 0.886 0.108
0.629 0.858 0.638
0.632 0.639 0.861
0.643 0.362 0.139
0.645 0.128 0.369
0.855 0.872 0.869
0.857 0.638 0.639
0.868 0.361 0.361
0.871 0.142 0.138
0.883 0.114 0.608
0.887 0.383 0.893
0.887 0.890 0.381
0.893 0.611 0.116
```

Largest 12 diffraction maxima, by angle, 2θ = 10–90°:
- 18.2 deg, d 4.884, intensity 100
- 35.0 deg, d 2.562, intensity 31
- 35.5 deg, d 2.528, intensity 15
- 36.8 deg, d 2.442, intensity 7
- 42.5 deg, d 2.128, intensity 41
- 43.3 deg, d 2.089, intensity 19
- 56.1 deg, d 1.638, intensity 6
- 56.2 deg, d 1.636, intensity 6
- 57.2 deg, d 1.610, intensity 6
- 61.6 deg, d 1.505, intensity 12
- 62.3 deg, d 1.491, intensity 23
- 78.3 deg, d 1.221, intensity 9

---

Entry 3:
Structure and theoretical PXRD pattern of Li2TiV3O8 (a cell relaxed with PBE+U; Cu Kα (λ = 1.5418 Å)).
Neutral-atom scattering factors, no anomalous dispersion.

Atomic structure:
```
Li2TiV3O8
1.0
2.949 -5.162 0.000
2.949 5.162 0.000
-0.016 0.000 9.574
Li Ti V O
4 2 6 16
direct
0.002 0.998 0.500
0.342 0.678 0.898
0.678 0.342 0.398
0.998 0.002 0.000
0.334 0.673 0.500
0.673 0.334 0.000
0.177 0.835 0.218
0.179 0.349 0.219
0.349 0.179 0.719
0.654 0.826 0.225
0.826 0.654 0.725
0.835 0.177 0.718
0.049 0.525 0.346
0.172 0.338 0.600
0.174 0.835 0.599
0.338 0.172 0.100
0.360 0.682 0.106
0.492 0.967 0.348
0.494 0.530 0.349
0.525 0.049 0.846
0.530 0.494 0.849
0.666 0.835 0.602
0.682 0.360 0.606
0.835 0.174 0.099
0.835 0.666 0.102
0.967 0.492 0.848
0.988 0.999 0.312
0.999 0.988 0.812
```

Largest 12 diffraction maxima, by angle, 2θ = 10–90°:
- 18.5 deg, d 4.787, intensity 94
- 19.5 deg, d 4.544, intensity 54
- 19.7 deg, d 4.516, intensity 100
- 25.4 deg, d 3.506, intensity 26
- 33.1 deg, d 2.710, intensity 58
- 35.5 deg, d 2.525, intensity 48
- 36.3 deg, d 2.474, intensity 48
- 39.9 deg, d 2.258, intensity 47
- 45.2 deg, d 2.007, intensity 33
- 45.4 deg, d 1.997, intensity 64
- 60.4 deg, d 1.533, intensity 46
- 62.5 deg, d 1.486, intensity 44

---

Entry 4:
Structure and theoretical PXRD pattern of Li2TiV2O6 (a cell relaxed with PBE+U; Cu Kα (λ = 1.5418 Å)).
Neutral-atom scattering factors, no anomalous dispersion.

Atomic structure:
```
Li2TiV2O6
1.0
4.466 -2.611 0.000
4.466 2.611 0.000
0.000 0.000 10.258
Li Ti V O
4 2 4 12
direct
0.128 0.372 0.250
0.372 0.128 0.750
0.628 0.872 0.250
0.872 0.628 0.750
0.000 0.000 0.000
0.500 0.500 0.500
0.164 0.164 0.500
0.336 0.336 0.000
0.664 0.664 0.000
0.836 0.836 0.500
0.017 0.318 0.892
0.176 0.824 0.402
0.182 0.483 0.608
0.318 0.017 0.108
0.324 0.676 0.902
0.483 0.182 0.392
0.517 0.818 0.608
0.676 0.324 0.098
0.682 0.983 0.892
0.818 0.517 0.392
0.824 0.176 0.598
0.983 0.682 0.108
```

Largest 12 diffraction maxima, by angle, 2θ = 10–90°:
- 17.3 deg, d 5.129, intensity 100
- 34.3 deg, d 2.611, intensity 7
- 35.8 deg, d 2.508, intensity 24
- 38.7 deg, d 2.327, intensity 16
- 39.0 deg, d 2.310, intensity 11
- 43.6 deg, d 2.075, intensity 5
- 43.9 deg, d 2.063, intensity 33
- 49.8 deg, d 1.830, intensity 13
- 57.3 deg, d 1.607, intensity 18
- 62.4 deg, d 1.487, intensity 21
- 65.2 deg, d 1.430, intensity 10
- 74.4 deg, d 1.275, intensity 5